Li2AcPN: computed powder XRD pattern (Cu Kα (λ = 1.5418 Å)), based on a cell relaxed with PBE.
Kinematic intensities with the Lorentz-polarization factor, no thermal factor.

Main lines, sorted by position (2θ = 10–90°):
2theta	I/Imax	hkl
18.5	80	0 0 2
20.2	100	1 1 0
27.6	74	1 1 2
28.8	74	2 0 0
34.4	80	2 0 2
43.0	30	1 1 4
45.5	35	2 2 2
48.0	36	2 0 4

Crystal structure
```
data_Li2AcPN
_chemical_formula_sum 'Li8 Ac4 P4 N4'
_space_group_name_H-M_alt 'I 4/m c m'
_space_group_IT_number 140
_space_group_name_Hall '-I 4 2c'
_cell_length_a 6.2022
_cell_length_b 6.2022
_cell_length_c 9.5860
_cell_angle_alpha 90.00
_cell_angle_beta 90.00
_cell_angle_gamma 90.00
loop_
_atom_site_label
_atom_site_type_symbol
_atom_site_fract_x
_atom_site_fract_y
_atom_site_fract_z
Li1 Li 0.1637 0.3363 0.0000
Ac1 Ac 0.0000 0.0000 0.2500
P1 P 0.0000 0.5000 0.2500
N1 N 0.0000 0.0000 0.0000
```

SmSc3Tl2: computed powder XRD pattern (Cu Kα (λ = 1.5418 Å)), based on a cell relaxed with PBE.
Kinematic intensities with the Lorentz-polarization factor, no thermal factor.

Main lines, sorted by position (2θ = 10–90°):
2theta	I/Imax	hkl
23.1	76	0 2 1
24.6	79	1 1 1
33.0	52	1 0 2
33.5	96	1 3 0
34.4	100	1 1 2
36.3	51	1 3 1
36.8	60	2 0 0
43.8	47	2 2 1

Crystal structure
```
data_SmSc3Tl2
_chemical_formula_sum 'Sm2 Sc6 Tl4'
_space_group_name_H-M_alt 'P m c 21'
_space_group_IT_number 26
_cell_length_a 4.8901
_cell_length_b 9.5704
_cell_length_c 6.5206
_cell_angle_alpha 90.00
_cell_angle_beta 90.00
_cell_angle_gamma 90.00
loop_
_space_group_symop_operation_xyz
'x,y,z'
'-x,-y,z+1/2'
'-x,y,z'
'x,-y,z+1/2'
loop_
_atom_site_label
_atom_site_type_symbol
_atom_site_fract_x
_atom_site_fract_y
_atom_site_fract_z
Sm1 Sm 0.0000 0.0423 0.0000
Sc1 Sc 0.0000 0.3166 0.6106
Sc2 Sc 0.5000 0.2025 0.2745
Sc3 Sc 0.5000 0.4581 0.8956
Tl1 Tl 0.0000 0.3739 0.1546
Tl2 Tl 0.5000 0.1433 0.7281
```

BaSr2Pd9: computed powder XRD pattern (Cu Kα (λ = 1.5418 Å)), based on a cell relaxed with PBE.
Kinematic intensities with the Lorentz-polarization factor, no thermal factor.

Main lines, sorted by position (2θ = 10–90°):
2theta	I/Imax	hkl
32.1	20	1 1 0
37.3	27	0 2 1
37.9	100	1 1 6
39.9	23	0 0 12
40.9	30	2 0 5
61.1	27	3 0 6
67.1	22	2 2 0
81.0	17	2 2 12

Crystal structure
```
data_BaSr2Pd9
_chemical_formula_sum 'Ba3 Sr6 Pd27'
_space_group_name_H-M_alt 'R -3 m'
_space_group_IT_number 166
_space_group_name_Hall '-R 3 2"'
_cell_length_a 5.5827
_cell_length_b 5.5827
_cell_length_c 27.1104
_cell_angle_alpha 90.00
_cell_angle_beta 90.00
_cell_angle_gamma 120.00
loop_
_atom_site_label
_atom_site_type_symbol
_atom_site_fract_x
_atom_site_fract_y
_atom_site_fract_z
Ba1 Ba 0.0000 0.0000 0.0000
Sr1 Sr 0.0000 0.0000 0.1401
Pd1 Pd 0.0000 0.0000 0.3324
Pd2 Pd 0.0000 0.0000 0.5000
Pd3 Pd 0.0015 0.5007 0.9160
```

CsTl6Sb2: computed powder XRD pattern (Cu Kα (λ = 1.5418 Å)), based on a cell relaxed with PBE.
Kinematic intensities with the Lorentz-polarization factor, no thermal factor.

Main lines, sorted by position (2θ = 10–90°):
2theta	I/Imax	hkl
28.6	100	1 1 2
33.6	60	2 0 0
33.8	59	1 1 3
48.3	22	2 2 0
53.5	19	2 0 5
57.1	30	3 1 2
60.3	23	3 1 3
80.7	15	4 2 0

Crystal structure
```
data_CsTl6Sb2
_chemical_formula_sum 'Cs1 Tl6 Sb2'
_space_group_name_H-M_alt 'P 4/m m m'
_space_group_IT_number 123
_space_group_name_Hall '-P 4 2'
_cell_length_a 5.3283
_cell_length_b 5.3283
_cell_length_c 11.1950
_cell_angle_alpha 90.00
_cell_angle_beta 90.00
_cell_angle_gamma 90.00
loop_
_atom_site_label
_atom_site_type_symbol
_atom_site_fract_x
_atom_site_fract_y
_atom_site_fract_z
Cs1 Cs 0.0000 0.0000 0.0000
Tl1 Tl 0.0000 0.0000 0.5000
Tl2 Tl 0.0000 0.5000 0.3000
Tl3 Tl 0.5000 0.5000 0.5000
Sb1 Sb 0.5000 0.5000 0.1314
```